This entry pairs a crystal structure of Ba2Fe2O5 with its simulated powder diffraction line list. Radiation: Cu Kα X-rays. Structure: a structure optimized by DFT (GGA+U).
Peak positions follow from Bragg's law for the DFT cell and can differ from measured ones.

Atomic structure:
abc: 8.0872 8.3675 16.8901
angles: 90.00 90.00 90.00
Space group Fmmm (No. 69)
One atom of each set of equivalent atoms:
Ba: 0.0000 0.2393 0.1406 x16
Fe: 0.1773 0.0000 0.5000 x8
Fe: 0.2500 0.0000 0.2500 x8
O: 0.0000 0.0000 0.2539 x8
O: 0.0000 0.1588 0.5000 x8
O: 0.2404 0.0000 0.1063 x16
O: 0.2500 0.2500 0.2500 x8

Top 10 peaks for 2θ from 5° to 70°, by angle:
- d 4.044, 21.98 deg, I = 29, hkl 2 0 0
- d 2.972, 30.07 deg, I = 83, hkl 0 2 4
- d 2.920, 30.61 deg, I = 68, hkl 2 0 4
- d 2.908, 30.75 deg, I = 100, hkl 2 2 0
- d 2.395, 37.56 deg, I = 35, hkl 2 2 4
- d 2.111, 42.83 deg, I = 20, hkl 0 0 8
- d 2.092, 43.25 deg, I = 26, hkl 0 4 0
- d 2.022, 44.82 deg, I = 29, hkl 4 0 0
- d 1.708, 53.65 deg, I = 23, hkl 2 2 8
- d 1.701, 53.91 deg, I = 29, hkl 2 4 4